The following is a theoretical X-ray powder pattern of La2Pr12Tl. It was derived from DFT lattice parameters and positions (PBE), using CuKα.
No peak broadening, texture or thermal motion is included.

Principal peaks in the range 2θ = 5–70°, low angle first:
two_theta, d (Å), I (rel.), index
19.7, 4.500, 46, 1 1 2
23.5, 3.778, 44, 1 1 4
27.0, 3.299, 100, 2 0 2
30.0, 2.979, 93, 2 0 4
31.9, 2.807, 34, 1 1 7
32.0, 2.795, 47, 2 0 5
34.4, 2.608, 76, 2 0 6
35.1, 2.559, 36, 1 1 8
37.1, 2.426, 86, 2 2 0
51.9, 1.760, 59, 3 1 8

Cell and atoms:
a = 6.8607 Å, b = 6.8607 Å, c = 24.0927 Å
α = 90.00°, β = 90.00°, γ = 90.00°
Space group P4/nbm (No. 125, origin choice 2)
Inequivalent atoms, fractional coordinates:
La  0.2500  0.7500  0.2476 [4 per cell]
Pr  0.0043  0.5043  0.0917 [8 per cell]
Pr  0.0844  0.5844  0.5652 [8 per cell]
Pr  0.2500  0.2500  0.1998 [4 per cell]
Pr  0.2500  0.2500  0.3296 [4 per cell]
Tl  0.2500  0.7500  0.0000 [2 per cell]